Record 1
Structure and computed XRD peak list of SbBrCl2 (a crystal structure in Alexandria, relaxed with PBE; Cu Kα (weighted mean of Kα1 and Kα2)).
Neutral-atom scattering factors, no anomalous dispersion.

Principal peaks in the range 2θ = 10–80°, in order of falling intensity:
2θ = 14.2°, d = 6.241 Å, rel. 100, (1 0 0)
2θ = 13.1°, d = 6.737 Å, rel. 83, (0 0 1)
2θ = 27.3°, d = 3.272 Å, rel. 58, (1 1 -1)
2θ = 22.4°, d = 3.966 Å, rel. 42, (1 0 1)
2θ = 34.0°, d = 2.639 Å, rel. 40, (1 1 -2)
2θ = 35.3°, d = 2.544 Å, rel. 27, (2 1 -1)
2θ = 15.8°, d = 5.604 Å, rel. 23, (1 0 -1)
2θ = 34.7°, d = 2.585 Å, rel. 19, (0 1 2)

```
SbBrCl2
1.0
6.6203 0.0000 0.0000
0.0000 4.0303 0.0000
-2.3838 0.0000 6.7369
Sb Br Cl
1 1 2
Direct
0.0000 0.0000 0.0000
0.1453 0.5000 0.7933
0.3283 0.0000 0.2632
0.8519 0.5000 0.1711
```

Record 2
Structure and computed XRD peak list of ScBrCl2 (a crystal structure in Alexandria, relaxed with PBE; Cu Kα (weighted mean of Kα1 and Kα2)).
Neutral-atom scattering factors, no anomalous dispersion.

Principal peaks in the range 2θ = 10–80°, in order of falling intensity:
2θ = 18.9°, d = 4.703 Å, rel. 100, (0 1 1)
2θ = 12.8°, d = 6.922 Å, rel. 97, (0 0 2)
2θ = 35.2°, d = 2.546 Å, rel. 82, (1 0 4)
2θ = 51.2°, d = 1.784 Å, rel. 52, (1 2 4)
2θ = 27.0°, d = 3.304 Å, rel. 47, (1 0 2)
2θ = 35.7°, d = 2.518 Å, rel. 43, (1 1 3)
2θ = 30.4°, d = 2.937 Å, rel. 41, (1 1 1)
2θ = 35.9°, d = 2.500 Å, rel. 40, (0 2 0)

```
ScBrCl2
1.0
3.7601 0.0000 0.0000
0.0000 5.0003 0.0000
0.0000 0.0000 13.8442
Sc Br Cl
2 2 4
Direct
0.0000 0.0000 0.0000
0.0000 0.5000 0.5000
0.5000 0.0000 0.1363
0.5000 0.5000 0.6363
0.0000 0.0000 0.4959
0.0000 0.5000 0.9959
0.5000 0.0000 0.8796
0.5000 0.5000 0.3796
```

Record 3
Structure and computed XRD peak list of ScBrCl2 (a crystal structure in Alexandria, relaxed with PBE; Cu Kα (weighted mean of Kα1 and Kα2)).
Neutral-atom scattering factors, no anomalous dispersion.

Principal peaks in the range 2θ = 10–80°, in order of falling intensity:
2θ = 13.7°, d = 6.473 Å, rel. 100, (0 2 0)
2θ = 36.9°, d = 2.437 Å, rel. 43, (0 4 1)
2θ = 27.7°, d = 3.215 Å, rel. 43, (0 2 1)
2θ = 50.8°, d = 1.797 Å, rel. 32, (2 4 1)
2θ = 30.2°, d = 2.959 Å, rel. 29, (1 1 1)
2θ = 33.7°, d = 2.659 Å, rel. 28, (2 0 0)
2θ = 26.6°, d = 3.351 Å, rel. 24, (1 3 0)
2θ = 44.2°, d = 2.049 Å, rel. 23, (2 2 1)

```
ScBrCl2
1.0
5.3180 0.0000 0.0000
0.0000 12.9454 0.0000
0.0000 0.0000 3.7047
Sc Br Cl
2 2 4
Direct
0.0000 0.0000 0.0000
0.5000 0.5000 0.0000
0.0000 0.5000 0.0000
0.5000 0.0000 0.0000
0.0000 0.1311 0.5000
0.0000 0.8689 0.5000
0.5000 0.3689 0.5000
0.5000 0.6311 0.5000
```

Please write out number 1 again, unchanged.
Structure and computed XRD peak list of SbBrCl2 (a crystal structure in Alexandria, relaxed with PBE; Cu Kα (weighted mean of Kα1 and Kα2)).
Neutral-atom scattering factors, no anomalous dispersion.

Principal peaks in the range 2θ = 10–80°, in order of falling intensity:
2θ = 14.2°, d = 6.241 Å, rel. 100, (1 0 0)
2θ = 13.1°, d = 6.737 Å, rel. 83, (0 0 1)
2θ = 27.3°, d = 3.272 Å, rel. 58, (1 1 -1)
2θ = 22.4°, d = 3.966 Å, rel. 42, (1 0 1)
2θ = 34.0°, d = 2.639 Å, rel. 40, (1 1 -2)
2θ = 35.3°, d = 2.544 Å, rel. 27, (2 1 -1)
2θ = 15.8°, d = 5.604 Å, rel. 23, (1 0 -1)
2θ = 34.7°, d = 2.585 Å, rel. 19, (0 1 2)

```
SbBrCl2
1.0
6.6203 0.0000 0.0000
0.0000 4.0303 0.0000
-2.3838 0.0000 6.7369
Sb Br Cl
1 1 2
Direct
0.0000 0.0000 0.0000
0.1453 0.5000 0.7933
0.3283 0.0000 0.2632
0.8519 0.5000 0.1711
```